Entry 1:
Calculated powder X-ray diffraction pattern
Compound: YAl20Cr2
Radiation: copper Kα
Structure: the GGA-PBE geometry in the Materials Project

Main lines, low angle first (5 to 70 degrees two-theta):
2θ (°), I/Imax, index
20.41, 62, 3 1 1
35.18, 41, 4 4 0
36.84, 85, 5 3 1
39.49, 57, 6 2 0
41.01, 100, 5 3 3
41.50, 98, 6 2 2
53.90, 38, 6 6 0
67.44, 23, 6 6 6

Structural model:
Cell lengths 14.432, 14.432, 14.432 Å; angles 90.00, 90.00, 90.00 degrees
Space group Fd-3m (No. 227, origin choice 2)
Inequivalent atoms, fractional coordinates:
Y  0.125  0.125  0.125 [8 per cell]
Al  0.000  0.000  0.000 [16 per cell]
Al  0.012  0.375  0.875 [48 per cell]
Al  0.058  0.058  0.326 [96 per cell]
Cr  0.000  0.000  0.500 [16 per cell]

***

Entry 2:
Calculated powder X-ray diffraction pattern
Compound: Y3Al28Cr8
Radiation: copper Kα
Structure: the GGA-PBE geometry in the Materials Project

Main lines, low angle first (5 to 70 degrees two-theta):
2θ (°), I/Imax, index
13.96, 28, 0 0 3
28.12, 35, 0 0 6
34.53, 24, 1 3 4
40.00, 100, 0 4 6
40.37, 60, 2 2 2
40.53, 38, 2 2 -4
45.31, 22, 2 0 5
58.15, 17, 0 0 12

Structural model:
```
data_Y3Al28Cr8
_chemical_formula_sum 'Y6 Al56 Cr16'
_symmetry_space_group_name_H-M 'C 1 2/m 1'
_symmetry_Int_Tables_number 12
_cell_length_a 5.131
_cell_length_b 12.806
_cell_length_c 19.190
_cell_angle_alpha 90.00
_cell_angle_beta 97.35
_cell_angle_gamma 90.00
loop_
_symmetry_equiv_pos_as_xyz
'x,y,z'
'-x,-y,-z'
'-x,y,-z'
'x,-y,z'
'x+1/2,y+1/2,z'
'-x+1/2,-y+1/2,-z'
'-x+1/2,y+1/2,-z'
'x+1/2,-y+1/2,z'
loop_
_atom_site_label
_atom_site_type_symbol
_atom_site_fract_x
_atom_site_fract_y
_atom_site_fract_z
Y1 Y 0.000 0.000 0.000
Y2 Y 0.166 0.500 0.334
Al1 Al 0.000 0.000 0.500
Al2 Al 0.000 0.500 0.500
Al3 Al 0.025 0.387 0.072
Al4 Al 0.064 0.174 0.111
Al5 Al 0.102 0.326 0.222
Al6 Al 0.142 0.113 0.261
Al7 Al 0.167 0.000 0.834
Al8 Al 0.203 0.113 0.402
Al9 Al 0.221 0.317 0.444
Cr1 Cr 0.085 0.246 0.667
Cr2 Cr 0.166 0.500 0.833
Cr3 Cr 0.250 0.250 0.000
```

***

Entry 3:
Calculated powder X-ray diffraction pattern
Compound: Al3ZnCr8
Radiation: copper Kα
Structure: the GGA-PBE geometry in the Materials Project

Main lines, low angle first (5 to 70 degrees two-theta):
2θ (°), I/Imax, index
5.13, 20, 0 0 1
10.27, 5, 0 0 2
20.63, 12, 0 0 4
42.98, 58, 1 1 0
43.82, 100, 1 0 6
62.29, 5, 1 0 10
62.41, 17, 2 0 0
64.99, 5, 0 0 12

Structural model:
```
data_Al3ZnCr8
_chemical_formula_sum 'Al3 Zn1 Cr8'
_symmetry_space_group_name_H-M 'P 4/m m m'
_symmetry_Int_Tables_number 123
_symmetry_space_group_name_Hall '-P 4 2'
_cell_length_a 2.976
_cell_length_b 2.976
_cell_length_c 17.221
_cell_angle_alpha 90.00
_cell_angle_beta 90.00
_cell_angle_gamma 90.00
loop_
_atom_site_label
_atom_site_type_symbol
_atom_site_fract_x
_atom_site_fract_y
_atom_site_fract_z
Al1 Al 0.000 0.000 0.000
Al2 Al 0.500 0.500 0.249
Zn1 Zn 0.000 0.000 0.500
Cr1 Cr 0.000 0.000 0.158
Cr2 Cr 0.000 0.000 0.342
Cr3 Cr 0.500 0.500 0.092
Cr4 Cr 0.500 0.500 0.408
```

***

Entry 4:
Calculated powder X-ray diffraction pattern
Compound: Zr2Al3Cr
Radiation: copper Kα
Structure: the GGA-PBE geometry in the Materials Project

Main lines, low angle first (5 to 70 degrees two-theta):
2θ (°), I/Imax, index
20.86, 24, 0 0 3
33.86, 75, 1 1 0
34.22, 40, 1 0 4
39.96, 25, 0 2 1
40.11, 100, 1 1 3
40.42, 38, 0 1 5
64.81, 23, 3 0 3
65.03, 17, 1 2 5

Structural model:
```
data_Zr2Al3Cr
_chemical_formula_sum 'Zr6 Al9 Cr3'
_symmetry_space_group_name_H-M 'R -3 m'
_symmetry_Int_Tables_number 166
_symmetry_space_group_name_Hall '-R 3 2"'
_cell_length_a 5.2942
_cell_length_b 5.2942
_cell_length_c 12.7741
_cell_angle_alpha 90.00
_cell_angle_beta 90.00
_cell_angle_gamma 120.00
loop_
_atom_site_label
_atom_site_type_symbol
_atom_site_fract_x
_atom_site_fract_y
_atom_site_fract_z
Zr1 Zr 0.0000 0.0000 0.1289
Al1 Al 0.0000 0.5000 0.0000
Cr1 Cr 0.0000 0.0000 0.5000
```

***

Entry 5:
Calculated powder X-ray diffraction pattern
Compound: Cs3AlF6
Radiation: copper Kα
Structure: the GGA-PBE geometry in the Materials Project

Main lines, low angle first (5 to 70 degrees two-theta):
2θ (°), I/Imax, index
26.78, 100, 2 2 0
31.52, 10, 3 1 1
32.96, 10, 2 2 2
38.24, 31, 4 0 0
41.83, 9, 3 3 1
47.30, 36, 4 2 2
55.19, 18, 4 4 0
62.38, 22, 6 2 0

Structural model:
```
data_Cs3AlF6
_chemical_formula_sum 'Cs12 Al4 F24'
_symmetry_space_group_name_H-M 'F m -3 m'
_symmetry_Int_Tables_number 225
_symmetry_space_group_name_Hall '-F 4 2 3'
_cell_length_a 9.414
_cell_length_b 9.414
_cell_length_c 9.414
_cell_angle_alpha 90.00
_cell_angle_beta 90.00
_cell_angle_gamma 90.00
loop_
_atom_site_label
_atom_site_type_symbol
_atom_site_fract_x
_atom_site_fract_y
_atom_site_fract_z
Cs1 Cs 0.000 0.000 0.000
Cs2 Cs 0.250 0.250 0.250
Al1 Al 0.000 0.000 0.500
F1 F 0.000 0.000 0.304
```